Simulated X-ray powder pattern of Y2Mn3O9 for λ = 1.5418 Å (Cu Kα), from the PBE+U geometry in Alexandria.
Kinematic intensities with the Lorentz-polarization factor, no thermal factor.

Structure:
```
data_Y2Mn3O9
_chemical_formula_sum 'Y4 Mn6 O18'
_symmetry_space_group_name_H-M 'P 63'
_symmetry_Int_Tables_number 173
_symmetry_space_group_name_Hall 'P 6c'
_cell_length_a 6.0600
_cell_length_b 6.0600
_cell_length_c 12.0022
_cell_angle_alpha 90.00
_cell_angle_beta 90.00
_cell_angle_gamma 120.00
loop_
_atom_site_label
_atom_site_fract_x
_atom_site_fract_y
_atom_site_fract_z
Y1 0.0000 0.0000 0.0000
Y2 0.3333 0.6667 0.4536
Mn1 0.0061 0.3364 0.7271
O1 0.0000 0.0000 0.2021
O2 0.0191 0.7194 0.3800
O3 0.0409 0.3716 0.5741
O4 0.3333 0.6667 0.2399
O5 0.3333 0.6667 0.7455
```

Main lines, by angle (5 to 70 degrees two-theta):
d 4.809, I = 68
d 3.951, I = 20
d 3.182, I = 20
d 3.001, I = 39
d 2.938, I = 100
d 2.705, I = 78
d 2.132, I = 21
d 1.882, I = 23
d 1.749, I = 58
d 1.511, I = 30